Simulated powder XRD pattern of Cr3NiP6O24 for Cu Kα (weighted mean of Kα1 and Kα2), from a DFT-relaxed cell (PBE+U, the Materials Project).
Kinematic intensities with the Lorentz-polarization factor, no thermal factor.

Cell and atoms:
a = 8.7929 Å, b = 8.7929 Å, c = 8.7929 Å
α = 58.42°, β = 58.42°, γ = 58.42°
Fractional positions:
1 Cr 0.0000 0.0000 0.0000
2 Cr 0.2154 0.2154 0.2154
3 Cr 0.5003 0.5003 0.5003
4 Ni 0.7140 0.7140 0.7140
5 P 0.1095 0.8233 0.3898
6 P 0.3234 0.6089 0.8907
7 P 0.3898 0.1095 0.8233
8 P 0.6089 0.8907 0.3234
9 P 0.8233 0.3898 0.1095
10 P 0.8907 0.3234 0.6089
11 O 0.0768 0.2834 0.4399
12 O 0.0782 0.8484 0.2203
13 O 0.1422 0.7847 0.9138
14 O 0.1468 0.9917 0.3591
15 O 0.2203 0.0782 0.8484
16 O 0.2809 0.6380 0.4194
17 O 0.2834 0.4399 0.0768
18 O 0.3509 0.5802 0.7184
19 O 0.3591 0.1468 0.9917
20 O 0.4194 0.2809 0.6380
21 O 0.4399 0.0768 0.2834
22 O 0.4968 0.6194 0.8797
23 O 0.5716 0.9358 0.8068
24 O 0.5802 0.7184 0.3509
25 O 0.6194 0.8797 0.4968
26 O 0.6380 0.4194 0.2809
27 O 0.7184 0.3509 0.5802
28 O 0.7847 0.9138 0.1422
29 O 0.8068 0.5716 0.9358
30 O 0.8484 0.2203 0.0782
31 O 0.8797 0.4968 0.6194
32 O 0.9138 0.1422 0.7847
33 O 0.9358 0.8068 0.5716
34 O 0.9917 0.3591 0.1468

Most intense lines, 10 to 80 degrees two-theta, in order of rising 2θ:
2θ 14.43, I = 43
2θ 20.21, I = 58
2θ 20.70, I = 28
2θ 24.09, I = 100
2θ 29.09, I = 50
2θ 32.13, I = 15
2θ 32.29, I = 33
2θ 36.26, I = 14
2θ 46.43, I = 12
2θ 49.33, I = 12
2θ 53.20, I = 13
2θ 56.76, I = 13


Simulated powder XRD pattern of Cr2Ni3SbP6O24 for Cu Kα (weighted mean of Kα1 and Kα2), from a DFT-relaxed cell (PBE+U, the Materials Project).
Kinematic intensities with the Lorentz-polarization factor, no thermal factor.

Cell and atoms:
a = 8.4168 Å, b = 8.4168 Å, c = 8.4168 Å
α = 61.87°, β = 61.87°, γ = 61.87°
Fractional positions:
1 Cr 0.0000 0.0000 0.0000
2 Cr 0.4945 0.4945 0.4945
3 Ni 0.1436 0.1436 0.1436
4 Ni 0.3547 0.3547 0.3547
5 Ni 0.8574 0.8574 0.8574
6 Sb 0.6438 0.6438 0.6438
7 P 0.0515 0.4491 0.7551
8 P 0.2438 0.9580 0.5498
9 P 0.4491 0.7551 0.0515
10 P 0.5498 0.2438 0.9580
11 P 0.7551 0.0515 0.4491
12 P 0.9580 0.5498 0.2438
13 O 0.0042 0.6039 0.8260
14 O 0.0613 0.2472 0.9019
15 O 0.0995 0.9325 0.7550
16 O 0.1029 0.5113 0.3247
17 O 0.1789 0.9857 0.3978
18 O 0.2472 0.9019 0.0613
19 O 0.2494 0.4357 0.5960
20 O 0.3247 0.1029 0.5113
21 O 0.3978 0.1789 0.9857
22 O 0.4083 0.7456 0.5645
23 O 0.4357 0.5960 0.2494
24 O 0.4885 0.6786 0.8925
25 O 0.5113 0.3247 0.1029
26 O 0.5645 0.4083 0.7456
27 O 0.5960 0.2494 0.4357
28 O 0.6039 0.8260 0.0042
29 O 0.6786 0.8925 0.4885
30 O 0.7456 0.5645 0.4083
31 O 0.7550 0.0995 0.9325
32 O 0.8260 0.0042 0.6039
33 O 0.8925 0.4885 0.6786
34 O 0.9019 0.0613 0.2472
35 O 0.9325 0.7550 0.0995
36 O 0.9857 0.3978 0.1789

Most intense lines, 10 to 80 degrees two-theta, in order of rising 2θ:
2θ 20.53, I = 100
2θ 21.13, I = 26
2θ 24.41, I = 79
2θ 29.62, I = 14
2θ 33.60, I = 65
2θ 35.95, I = 46
2θ 36.31, I = 13
2θ 48.12, I = 28
2θ 50.03, I = 26
2θ 56.25, I = 25
2θ 57.27, I = 14
2θ 63.13, I = 22


Simulated powder XRD pattern of Cr3NiTe2P6O24 for Cu Kα (weighted mean of Kα1 and Kα2), from a DFT-relaxed cell (PBE+U, the Materials Project).
Kinematic intensities with the Lorentz-polarization factor, no thermal factor.

Cell and atoms:
a = 8.8240 Å, b = 8.8240 Å, c = 8.8240 Å
α = 58.54°, β = 58.54°, γ = 58.54°
Fractional positions:
1 Cr 0.0000 0.0000 0.0000
2 Cr 0.2100 0.2100 0.2100
3 Cr 0.7064 0.7064 0.7064
4 Ni 0.5068 0.5068 0.5068
5 Te 0.3662 0.3662 0.3662
6 Te 0.8578 0.8578 0.8578
7 P 0.0993 0.3900 0.8164
8 P 0.3128 0.8952 0.6022
9 P 0.3900 0.8164 0.0993
10 P 0.6022 0.3128 0.8952
11 P 0.8164 0.0993 0.3900
12 P 0.8952 0.6022 0.3128
13 O 0.0550 0.2329 0.8419
14 O 0.0934 0.4395 0.2878
15 O 0.1172 0.9217 0.7744
16 O 0.1601 0.3599 0.9644
17 O 0.2329 0.8419 0.0550
18 O 0.2694 0.4145 0.6124
19 O 0.2878 0.0934 0.4395
20 O 0.3313 0.7435 0.5558
21 O 0.3599 0.9644 0.1601
22 O 0.4145 0.6124 0.2694
23 O 0.4395 0.2878 0.0934
24 O 0.4693 0.8643 0.6534
25 O 0.5558 0.3313 0.7435
26 O 0.5840 0.7884 0.9354
27 O 0.6124 0.2694 0.4145
28 O 0.6534 0.4693 0.8643
29 O 0.7435 0.5558 0.3313
30 O 0.7744 0.1172 0.9217
31 O 0.7884 0.9354 0.5840
32 O 0.8419 0.0550 0.2329
33 O 0.8643 0.6534 0.4693
34 O 0.9217 0.7744 0.1172
35 O 0.9354 0.5840 0.7884
36 O 0.9644 0.1601 0.3599

Most intense lines, 10 to 80 degrees two-theta, in order of rising 2θ:
2θ 14.36, I = 25
2θ 20.59, I = 100
2θ 23.97, I = 60
2θ 25.19, I = 27
2θ 32.17, I = 86
2θ 32.75, I = 20
2θ 36.06, I = 38
2θ 44.05, I = 16
2θ 46.24, I = 26
2θ 49.09, I = 32
2θ 56.43, I = 24
2θ 62.40, I = 24


Simulated powder XRD pattern of TiCr2Ni3P6O24 for Cu Kα (weighted mean of Kα1 and Kα2), from a DFT-relaxed cell (PBE+U, the Materials Project).
Kinematic intensities with the Lorentz-polarization factor, no thermal factor.

Cell and atoms:
a = 8.4003 Å, b = 8.4003 Å, c = 8.4003 Å
α = 61.90°, β = 61.90°, γ = 61.90°
Fractional positions:
1 Ti 0.0000 0.0000 0.0000
2 Cr 0.1477 0.1477 0.1477
3 Cr 0.6487 0.6487 0.6487
4 Ni 0.2915 0.2915 0.2915
5 Ni 0.5056 0.5056 0.5056
6 Ni 0.7900 0.7900 0.7900
7 P 0.0956 0.6954 0.3985
8 P 0.1971 0.5958 0.8944
9 P 0.3985 0.0956 0.6954
10 P 0.5958 0.8944 0.1971
11 P 0.6954 0.3985 0.0956
12 P 0.8944 0.1971 0.5958
13 O 0.0494 0.6384 0.8123
14 O 0.0510 0.2075 0.3966
15 O 0.0813 0.9012 0.2394
16 O 0.1354 0.7582 0.9738
17 O 0.1437 0.5445 0.3207
18 O 0.2075 0.3966 0.0510
19 O 0.2394 0.0813 0.9012
20 O 0.2490 0.6600 0.4719
21 O 0.3207 0.1437 0.5445
22 O 0.3966 0.0510 0.2075
23 O 0.3992 0.5903 0.7479
24 O 0.4719 0.2490 0.6600
25 O 0.5445 0.3207 0.1437
26 O 0.5477 0.8923 0.7152
27 O 0.5903 0.7479 0.3992
28 O 0.6384 0.8123 0.0494
29 O 0.6600 0.4719 0.2490
30 O 0.7152 0.5477 0.8923
31 O 0.7479 0.3992 0.5903
32 O 0.7582 0.9738 0.1354
33 O 0.8123 0.0494 0.6384
34 O 0.8923 0.7152 0.5477
35 O 0.9012 0.2394 0.0813
36 O 0.9738 0.1354 0.7582

Most intense lines, 10 to 80 degrees two-theta, in order of rising 2θ:
2θ 20.56, I = 85
2θ 21.17, I = 13
2θ 24.45, I = 100
2θ 25.37, I = 14
2θ 31.95, I = 14
2θ 33.67, I = 66
2θ 36.01, I = 43
2θ 48.21, I = 30
2θ 50.12, I = 27
2θ 56.34, I = 23
2θ 57.38, I = 15
2θ 63.25, I = 22


Simulated powder XRD pattern of Ti3Cr2NiP6O24 for Cu Kα (weighted mean of Kα1 and Kα2), from a DFT-relaxed cell (PBE+U, the Materials Project).
Kinematic intensities with the Lorentz-polarization factor, no thermal factor.

Cell and atoms:
a = 8.6180 Å, b = 8.6180 Å, c = 8.6180 Å
α = 60.12°, β = 60.12°, γ = 60.12°
Fractional positions:
1 Ti 0.0000 0.0000 0.0000
2 Ti 0.2102 0.2102 0.2102
3 Ti 0.5019 0.5019 0.5019
4 Cr 0.3546 0.3546 0.3546
5 Cr 0.8529 0.8529 0.8529
6 Ni 0.7117 0.7117 0.7117
7 P 0.1059 0.8119 0.3998
8 P 0.3130 0.6077 0.8996
9 P 0.3998 0.1059 0.8119
10 P 0.6077 0.8996 0.3130
11 P 0.8119 0.3998 0.1059
12 P 0.8996 0.3130 0.6077
13 O 0.0450 0.8571 0.2357
14 O 0.0932 0.2866 0.4415
15 O 0.1138 0.7694 0.9133
16 O 0.1745 0.9724 0.3464
17 O 0.2357 0.0450 0.8571
18 O 0.2721 0.6195 0.4104
19 O 0.2866 0.4415 0.0932
20 O 0.3464 0.1745 0.9724
21 O 0.3574 0.5471 0.7344
22 O 0.4104 0.2721 0.6195
23 O 0.4415 0.0932 0.2866
24 O 0.4650 0.6655 0.8696
25 O 0.5471 0.7344 0.3574
26 O 0.5918 0.9473 0.8025
27 O 0.6195 0.4104 0.2721
28 O 0.6655 0.8696 0.4650
29 O 0.7344 0.3574 0.5471
30 O 0.7694 0.9133 0.1138
31 O 0.8025 0.5918 0.9473
32 O 0.8571 0.2357 0.0450
33 O 0.8696 0.4650 0.6655
34 O 0.9133 0.1138 0.7694
35 O 0.9473 0.8025 0.5918
36 O 0.9724 0.3464 0.1745

Most intense lines, 10 to 80 degrees two-theta, in order of rising 2θ:
2θ 20.58, I = 77
2θ 24.19, I = 100
2θ 25.28, I = 14
2θ 31.95, I = 15
2θ 32.86, I = 69
2θ 36.04, I = 33
2θ 43.93, I = 10
2θ 47.15, I = 26
2θ 49.56, I = 26
2θ 56.42, I = 33
2θ 62.79, I = 18
2θ 76.45, I = 11


Simulated powder XRD pattern of Ti3CrNi2P6O24 for Cu Kα (weighted mean of Kα1 and Kα2), from a DFT-relaxed cell (PBE+U, the Materials Project).
Kinematic intensities with the Lorentz-polarization factor, no thermal factor.

Cell and atoms:
a = 8.5041 Å, b = 8.5041 Å, c = 8.5041 Å
α = 60.83°, β = 60.83°, γ = 60.83°
Fractional positions:
1 Ti 0.0000 0.0000 0.0000
2 Ti 0.2124 0.2124 0.2124
3 Ti 0.5010 0.5010 0.5010
4 Cr 0.7159 0.7159 0.7159
5 Ni 0.3558 0.3558 0.3558
6 Ni 0.8570 0.8570 0.8570
7 P 0.1058 0.8112 0.4022
8 P 0.3153 0.6076 0.9012
9 P 0.4022 0.1058 0.8112
10 P 0.6076 0.9012 0.3153
11 P 0.8112 0.4022 0.1058
12 P 0.9012 0.3153 0.6076
13 O 0.0403 0.8551 0.2415
14 O 0.0987 0.2966 0.4450
15 O 0.1161 0.7676 0.9122
16 O 0.1742 0.9708 0.3565
17 O 0.2415 0.0403 0.8551
18 O 0.2688 0.6147 0.4132
19 O 0.2966 0.4450 0.0987
20 O 0.3565 0.1742 0.9708
21 O 0.3586 0.5405 0.7398
22 O 0.4132 0.2688 0.6147
23 O 0.4450 0.0987 0.2966
24 O 0.4716 0.6706 0.8642
25 O 0.5405 0.7398 0.3586
26 O 0.5991 0.9465 0.8005
27 O 0.6147 0.4132 0.2688
28 O 0.6706 0.8642 0.4716
29 O 0.7398 0.3586 0.5405
30 O 0.7676 0.9122 0.1161
31 O 0.8005 0.5991 0.9465
32 O 0.8551 0.2415 0.0403
33 O 0.8642 0.4716 0.6706
34 O 0.9122 0.1161 0.7676
35 O 0.9465 0.8005 0.5991
36 O 0.9708 0.3565 0.1742

Most intense lines, 10 to 80 degrees two-theta, in order of rising 2θ:
2θ 20.63, I = 77
2θ 24.37, I = 100
2θ 25.39, I = 21
2θ 32.05, I = 16
2θ 33.28, I = 66
2θ 36.13, I = 34
2θ 47.71, I = 31
2θ 49.94, I = 25
2θ 56.55, I = 21
2θ 57.00, I = 15
2θ 63.17, I = 18
2θ 76.67, I = 10